BaCaC2O6: computed PXRD pattern (Cu Kα), based on a DFT-relaxed cell (GGA-PBE, the Materials Project).

```
BaCaC2O6
1.0
6.634 0.000 0.000
0.000 5.301 0.000
-2.270 0.000 7.940
Ba Ca C O
2 2 4 12
Cartesian
0.613 1.325 2.819
3.752 3.976 5.122
0.005 1.325 6.971
4.359 3.976 0.969
1.383 3.976 0.914
0.291 3.976 4.804
4.074 1.325 3.136
2.981 1.325 7.026
0.120 3.976 1.106
-0.227 2.846 5.207
-0.227 5.106 5.207
2.065 2.860 0.840
2.065 5.092 0.840
1.257 3.976 3.948
3.107 1.325 3.993
2.299 0.209 7.101
2.299 2.441 7.101
4.592 0.196 2.734
4.592 2.455 2.734
4.245 1.325 6.834
```

Most intense lines, 10° ≤ 2θ ≤ 90°, low angle first:
(hkl), 2θ (°), d/Å, I/Imax
0 0 1, 11.14, 7.940, 18
1 0 1, 20.12, 4.413, 37
1 1 0, 21.80, 4.077, 43
1 0 -2, 22.90, 3.883, 19
2 0 0, 27.98, 3.189, 42
0 1 2, 28.08, 3.178, 100
0 2 0, 33.83, 2.650, 21
2 1 -2, 35.21, 2.549, 27
2 1 1, 37.25, 2.414, 30
1 2 -2, 41.24, 2.189, 27
2 2 -1, 43.90, 2.063, 24
2 1 2, 44.43, 2.039, 37



LiNbP4O12: computed PXRD pattern (Cu Kα), based on a DFT-relaxed cell (GGA-PBE, the Materials Project).

```
LiNbP4O12
1.0
7.421 0.000 0.000
-2.555 7.003 0.000
-3.278 -2.856 9.034
Li Nb P O
2 2 8 24
Cartesian
-0.398 2.632 2.275
1.986 1.515 6.760
0.000 0.000 0.000
-2.917 2.074 4.517
-3.061 4.841 2.768
-0.295 0.103 4.721
0.177 5.228 0.233
-1.051 3.320 7.280
2.639 0.827 1.754
1.411 -1.081 8.801
1.884 4.044 4.313
4.649 -0.694 6.266
-2.374 3.499 2.899
-2.804 -1.350 7.614
-4.205 2.951 8.373
-1.210 0.959 3.856
-1.213 -0.556 5.898
0.137 -1.214 3.892
0.017 3.894 0.828
-1.677 2.997 5.958
1.149 0.980 1.620
-1.719 2.407 8.428
0.493 6.319 1.406
0.915 0.691 5.314
0.673 3.456 3.720
1.095 -2.172 7.628
3.307 1.740 0.606
0.439 3.167 7.414
3.265 1.150 3.076
1.571 0.253 8.206
1.451 5.361 5.142
2.801 4.703 3.136
2.798 3.188 5.178
5.793 1.196 0.662
4.392 5.497 1.420
3.962 0.648 6.135
```

Most intense lines, 10° ≤ 2θ ≤ 90°, low angle first:
(hkl), 2θ (°), d/Å, I/Imax
0 1 -1, 13.92, 6.362, 100
1 -1 1, 18.57, 4.777, 19
0 1 1, 18.76, 4.731, 38
1 0 -2, 18.87, 4.703, 36
0 0 2, 19.65, 4.517, 35
1 1 -1, 20.83, 4.264, 17
1 -2 0, 24.38, 3.651, 69
0 2 -2, 28.05, 3.181, 23
1 1 1, 28.72, 3.108, 69
1 1 -3, 28.86, 3.093, 68
2 -1 1, 29.95, 2.983, 41
-2 2 2, 33.67, 2.662, 26



> Which formula does entry 2 have?

LiNbP4O12



Copy entry 1 word for word.
BaCaC2O6: computed PXRD pattern (Cu Kα), based on a DFT-relaxed cell (GGA-PBE, the Materials Project).

```
BaCaC2O6
1.0
6.634 0.000 0.000
0.000 5.301 0.000
-2.270 0.000 7.940
Ba Ca C O
2 2 4 12
Cartesian
0.613 1.325 2.819
3.752 3.976 5.122
0.005 1.325 6.971
4.359 3.976 0.969
1.383 3.976 0.914
0.291 3.976 4.804
4.074 1.325 3.136
2.981 1.325 7.026
0.120 3.976 1.106
-0.227 2.846 5.207
-0.227 5.106 5.207
2.065 2.860 0.840
2.065 5.092 0.840
1.257 3.976 3.948
3.107 1.325 3.993
2.299 0.209 7.101
2.299 2.441 7.101
4.592 0.196 2.734
4.592 2.455 2.734
4.245 1.325 6.834
```

Most intense lines, 10° ≤ 2θ ≤ 90°, low angle first:
(hkl), 2θ (°), d/Å, I/Imax
0 0 1, 11.14, 7.940, 18
1 0 1, 20.12, 4.413, 37
1 1 0, 21.80, 4.077, 43
1 0 -2, 22.90, 3.883, 19
2 0 0, 27.98, 3.189, 42
0 1 2, 28.08, 3.178, 100
0 2 0, 33.83, 2.650, 21
2 1 -2, 35.21, 2.549, 27
2 1 1, 37.25, 2.414, 30
1 2 -2, 41.24, 2.189, 27
2 2 -1, 43.90, 2.063, 24
2 1 2, 44.43, 2.039, 37